No. 1
For In9Hg2Bi, a DFT-relaxed cell (GGA-PBE, Alexandria) gives the calculated powder diffraction line list in this record (Cu Kα (weighted mean of Kα1 and Kα2)).
No peak broadening, texture or thermal motion is included.

Crystal structure
a b c (Å): 5.0626 5.0626 12.9491
angles (deg): 90.00 90.00 90.00
Fractional coordinates of all 12 atoms:
In: 0.0000 0.0000 0.0000
In: 0.0000 0.0000 0.3319
In: 0.0000 0.0000 0.6681
In: 0.0000 0.5000 0.1712
In: 0.0000 0.5000 0.5000
In: 0.0000 0.5000 0.8288
In: 0.5000 0.0000 0.1712
In: 0.5000 0.0000 0.5000
In: 0.5000 0.0000 0.8288
Hg: 0.5000 0.5000 0.3373
Hg: 0.5000 0.5000 0.6627
Bi: 0.5000 0.5000 0.0000

Principal peaks in the range 2θ from 10° to 80°, in order of rising 2θ:
17.52 deg, I = 4.9
32.49 deg, I = 100.0
35.46 deg, I = 39.7
41.86 deg, I = 12.3
51.02 deg, I = 13.9
55.99 deg, I = 20.7
61.81 deg, I = 30.9
68.05 deg, I = 11.5
70.54 deg, I = 10.7
75.05 deg, I = 4.4

No. 2
For In5Hg5Bi, a DFT-relaxed cell (GGA-PBE, Alexandria) gives the calculated powder diffraction line list in this record (Cu Kα (weighted mean of Kα1 and Kα2)).
No peak broadening, texture or thermal motion is included.

Crystal structure
a b c (Å): 5.6420 5.6420 11.5782
angles (deg): 90.00 90.00 120.00
Fractional coordinates of all 11 atoms:
In: 0.0000 0.0000 0.0000
In: 0.3333 0.6667 0.2980
In: 0.3333 0.6667 0.7020
In: 0.6667 0.3333 0.1598
In: 0.6667 0.3333 0.8402
Hg: 0.0000 0.0000 0.2566
Hg: 0.0000 0.0000 0.7434
Hg: 0.3356 0.1678 0.5000
Hg: 0.8322 0.1678 0.5000
Hg: 0.8322 0.6644 0.5000
Bi: 0.3333 0.6667 0.0000

Principal peaks in the range 2θ from 10° to 80°, in order of rising 2θ:
29.49 deg, I = 100.0
30.89 deg, I = 45.2
31.72 deg, I = 79.7
32.67 deg, I = 47.5
35.40 deg, I = 39.0
36.07 deg, I = 38.1
37.63 deg, I = 34.2
40.06 deg, I = 58.9
48.78 deg, I = 41.0
55.13 deg, I = 33.7

No. 3
For In5Hg6Bi2, a DFT-relaxed cell (GGA-PBE, Alexandria) gives the calculated powder diffraction line list in this record (Cu Kα (weighted mean of Kα1 and Kα2)).
No peak broadening, texture or thermal motion is included.

Crystal structure
a b c (Å): 3.9657 9.1821 20.3144
angles (deg): 90.00 97.13 90.00
Fractional coordinates of all 26 atoms:
In: 0.0000 0.0000 0.0000
In: 0.0000 0.5000 0.5000
In: 0.0435 0.1516 0.2330
In: 0.0435 0.3484 0.7330
In: 0.1045 0.6241 0.9442
In: 0.1045 0.8759 0.4442
In: 0.8955 0.1241 0.5558
In: 0.8955 0.3759 0.0558
In: 0.9565 0.6516 0.2670
In: 0.9565 0.8484 0.7670
Hg: 0.2497 0.6748 0.6628
Hg: 0.2497 0.8252 0.1628
Hg: 0.3336 0.2005 0.4395
Hg: 0.3336 0.2995 0.9395
Hg: 0.4431 0.5978 0.3911
Hg: 0.4431 0.9022 0.8911
Hg: 0.5569 0.0978 0.1089
Hg: 0.5569 0.4022 0.6089
Hg: 0.6664 0.7005 0.0605
Hg: 0.6664 0.7995 0.5605
Hg: 0.7503 0.1748 0.8372
Hg: 0.7503 0.3252 0.3372
Bi: 0.4316 0.0686 0.6826
Bi: 0.4316 0.4314 0.1826
Bi: 0.5684 0.5686 0.8174
Bi: 0.5684 0.9314 0.3174

Principal peaks in the range 2θ from 10° to 80°, in order of rising 2θ:
30.52 deg, I = 100.0
31.28 deg, I = 32.0
31.61 deg, I = 62.3
32.10 deg, I = 49.6
34.29 deg, I = 23.2
36.85 deg, I = 31.5
38.99 deg, I = 20.5
41.49 deg, I = 16.9
47.00 deg, I = 14.2
51.21 deg, I = 17.0

No. 4
For In8Hg3Bi, a DFT-relaxed cell (GGA-PBE, Alexandria) gives the calculated powder diffraction line list in this record (Cu Kα (weighted mean of Kα1 and Kα2)).
No peak broadening, texture or thermal motion is included.

Crystal structure
a b c (Å): 7.1783 7.1783 8.2315
angles (deg): 111.42 111.42 89.16
Fractional coordinates of all 12 atoms:
In: 0.0000 0.0000 0.0000
In: 0.2237 0.2237 0.5147
In: 0.2610 0.7472 0.5190
In: 0.4536 0.9767 0.0012
In: 0.4823 0.4823 0.0014
In: 0.7170 0.7170 0.5287
In: 0.7472 0.2610 0.5190
In: 0.9767 0.4536 0.0012
Hg: 0.1120 0.6087 0.7598
Hg: 0.3595 0.3595 0.2659
Hg: 0.6087 0.1120 0.7598
Bi: 0.8493 0.8493 0.2557

Principal peaks in the range 2θ from 10° to 80°, in order of rising 2θ:
20.23 deg, I = 24.0
21.66 deg, I = 66.9
22.82 deg, I = 45.1
34.07 deg, I = 100.0
35.39 deg, I = 42.4
35.64 deg, I = 45.2
37.33 deg, I = 77.4
40.43 deg, I = 28.1
42.74 deg, I = 17.9
51.10 deg, I = 29.2

No. 5
For In2Hg4Bi3, a DFT-relaxed cell (GGA-PBE, Alexandria) gives the calculated powder diffraction line list in this record (Cu Kα (weighted mean of Kα1 and Kα2)).
No peak broadening, texture or thermal motion is included.

Crystal structure
a b c (Å): 3.3537 6.0414 13.1548
angles (deg): 93.12 97.10 92.79
Fractional coordinates of all 9 atoms:
In: 0.2250 0.1982 0.4429
In: 0.7750 0.8018 0.5571
Hg: 0.1615 0.6366 0.3492
Hg: 0.4131 0.9520 0.7552
Hg: 0.5869 0.0480 0.2448
Hg: 0.8385 0.3634 0.6508
Bi: 0.4435 0.4800 0.8773
Bi: 0.5000 0.0000 0.0000
Bi: 0.5565 0.5200 0.1227

Principal peaks in the range 2θ from 10° to 80°, in order of rising 2θ:
26.83 deg, I = 38.3
28.56 deg, I = 31.3
30.04 deg, I = 70.7
31.75 deg, I = 29.3
32.01 deg, I = 100.0
36.73 deg, I = 33.2
38.01 deg, I = 23.0
39.10 deg, I = 26.9
41.58 deg, I = 22.7
60.00 deg, I = 24.4

No. 6
For In6Hg5Bi2, a DFT-relaxed cell (GGA-PBE, Alexandria) gives the calculated powder diffraction line list in this record (Cu Kα (weighted mean of Kα1 and Kα2)).
No peak broadening, texture or thermal motion is included.

Crystal structure
a b c (Å): 4.4592 13.1769 13.5035
angles (deg): 90.00 107.29 90.00
Fractional coordinates of all 26 atoms:
In: 0.0117 0.1140 0.0104
In: 0.0117 0.3860 0.5104
In: 0.1291 0.1021 0.6418
In: 0.1291 0.3979 0.1418
In: 0.2789 0.1261 0.3019
In: 0.2789 0.3739 0.8019
In: 0.7211 0.6261 0.1981
In: 0.7211 0.8739 0.6981
In: 0.8709 0.6021 0.8582
In: 0.8709 0.8979 0.3582
In: 0.9883 0.6140 0.4896
In: 0.9883 0.8860 0.9896
Hg: 0.3572 0.5225 0.3416
Hg: 0.3572 0.9775 0.8416
Hg: 0.4725 0.7364 0.9695
Hg: 0.4725 0.7636 0.4695
Hg: 0.5000 0.0000 0.5000
Hg: 0.5000 0.5000 0.0000
Hg: 0.5275 0.2364 0.5305
Hg: 0.5275 0.2636 0.0305
Hg: 0.6428 0.0225 0.1584
Hg: 0.6428 0.4775 0.6584
Bi: 0.2270 0.7055 0.7076
Bi: 0.2270 0.7945 0.2076
Bi: 0.7730 0.2055 0.7924
Bi: 0.7730 0.2945 0.2924

Principal peaks in the range 2θ from 10° to 80°, in order of rising 2θ:
28.52 deg, I = 76.8
29.07 deg, I = 23.1
31.49 deg, I = 39.3
32.42 deg, I = 27.8
34.44 deg, I = 100.0
34.71 deg, I = 32.3
35.59 deg, I = 27.8
40.14 deg, I = 59.8
40.49 deg, I = 68.5
57.75 deg, I = 22.1

No. 7
For In5Hg2Bi4, a DFT-relaxed cell (GGA-PBE, Alexandria) gives the calculated powder diffraction line list in this record (Cu Kα (weighted mean of Kα1 and Kα2)).
No peak broadening, texture or thermal motion is included.

Crystal structure
a b c (Å): 8.6033 21.7226 3.4562
angles (deg): 90.00 90.00 90.00
Fractional coordinates of all 22 atoms:
In: 0.0000 0.0000 0.0000
In: 0.1338 0.3121 0.0000
In: 0.1834 0.5867 0.0000
In: 0.3166 0.0867 0.0000
In: 0.3662 0.8121 0.0000
In: 0.5000 0.5000 0.0000
In: 0.6338 0.1879 0.0000
In: 0.6834 0.9133 0.0000
In: 0.8166 0.4133 0.0000
In: 0.8662 0.6879 0.0000
Hg: 0.1725 0.7183 0.5000
Hg: 0.3275 0.2183 0.5000
Hg: 0.6725 0.7817 0.5000
Hg: 0.8275 0.2817 0.5000
Bi: 0.0092 0.8620 0.5000
Bi: 0.1656 0.4455 0.5000
Bi: 0.3344 0.9455 0.5000
Bi: 0.4908 0.3620 0.5000
Bi: 0.5092 0.6380 0.5000
Bi: 0.6656 0.0545 0.5000
Bi: 0.8344 0.5545 0.5000
Bi: 0.9908 0.1380 0.5000

Principal peaks in the range 2θ from 10° to 80°, in order of rising 2θ:
30.49 deg, I = 51.0
30.63 deg, I = 64.2
31.47 deg, I = 74.7
32.31 deg, I = 25.6
32.42 deg, I = 100.0
34.64 deg, I = 23.4
35.55 deg, I = 59.3
37.25 deg, I = 48.7
51.62 deg, I = 25.3
63.18 deg, I = 40.9

No. 8
For In6Hg6Bi, a DFT-relaxed cell (GGA-PBE, Alexandria) gives the calculated powder diffraction line list in this record (Cu Kα (weighted mean of Kα1 and Kα2)).
No peak broadening, texture or thermal motion is included.

Crystal structure
a b c (Å): 6.4939 6.4939 10.0740
angles (deg): 90.00 90.00 120.62
Fractional coordinates of all 13 atoms:
In: 0.0000 0.0000 0.1695
In: 0.0000 0.0000 0.8305
In: 0.3341 0.6659 0.0000
In: 0.3342 0.6658 0.5000
In: 0.6659 0.3341 0.0000
In: 0.6658 0.3342 0.5000
Hg: 0.0000 0.5000 0.2517
Hg: 0.0000 0.5000 0.7483
Hg: 0.5000 0.0000 0.2517
Hg: 0.5000 0.0000 0.7483
Hg: 0.5000 0.5000 0.2516
Hg: 0.5000 0.5000 0.7484
Bi: 0.0000 0.0000 0.5000

Principal peaks in the range 2θ from 10° to 80°, in order of rising 2θ:
17.61 deg, I = 34.0
31.72 deg, I = 39.8
32.03 deg, I = 79.0
32.82 deg, I = 67.3
33.04 deg, I = 33.5
35.65 deg, I = 47.0
36.51 deg, I = 52.0
36.78 deg, I = 100.0
48.67 deg, I = 29.6
56.71 deg, I = 39.4